1.
This entry pairs a crystal structure of Sm2B3N2 with its calculated powder XRD pattern. Radiation: Cu Kα (λ = 1.5418 Å). Structure: a crystal structure in Alexandria, relaxed with GGA-PBE.
Peak positions follow from Bragg's law for the DFT cell and can differ from measured ones.

Structure:
```
data_Sm2B3N2
_cell_length_a 3.354
_cell_length_b 3.880
_cell_length_c 6.785
_cell_angle_alpha 90.00
_cell_angle_beta 104.13
_cell_angle_gamma 90.00
_symmetry_space_group_name_H-M 'P 1 2/m 1'
_symmetry_Int_Tables_number 10
loop_
_symmetry_equiv_pos_as_xyz
'x,y,z'
'-x,-y,-z'
'-x,y,-z'
'x,-y,z'
loop_
_atom_site_label
_atom_site_type_symbol
_atom_site_fract_x
_atom_site_fract_y
_atom_site_fract_z
_atom_site_occupancy
Sm1 Sm 0.138 0.000 0.271 1
B1 B 0.279 0.500 0.562 1
B2 B 0.500 0.500 0.000 1
N1 N 0.392 0.500 0.791 1
```

Peak list (10 most intense, 10 to 90 degrees two-theta, most intense first)
| hkl | d_spacing | 2θ (°) | I (rel.) |
| --- | --- | --- | --- |
| 1 1 -1 | 2.492 | 36.05 | 100 |
| 1 1 1 | 2.197 | 41.09 | 90 |
| 0 1 0 | 3.880 | 22.92 | 87 |
| 0 0 2 | 3.290 | 27.11 | 86 |
| 0 1 2 | 2.509 | 35.79 | 78 |
| 1 0 -1 | 3.250 | 27.44 | 51 |
| 1 0 1 | 2.669 | 33.58 | 33 |
| 1 0 -2 | 2.660 | 33.69 | 32 |
| 1 1 3 | 1.513 | 61.26 | 28 |
| 0 2 0 | 1.940 | 46.83 | 27 |

---

2.
This entry pairs a crystal structure of Sr2BN3 with its calculated powder XRD pattern. Radiation: Cu Kα (λ = 1.5418 Å). Structure: a crystal structure in Alexandria, relaxed with GGA-PBE.
Peak positions follow from Bragg's law for the DFT cell and can differ from measured ones.

Structure:
```
data_Sr2BN3
_cell_length_a 7.234
_cell_length_b 9.052
_cell_length_c 10.320
_cell_angle_alpha 90.00
_cell_angle_beta 90.00
_cell_angle_gamma 90.00
_symmetry_space_group_name_H-M 'F m m m'
_symmetry_Int_Tables_number 69
_symmetry_space_group_name_Hall '-F 2 2'
loop_
_atom_site_label
_atom_site_type_symbol
_atom_site_fract_x
_atom_site_fract_y
_atom_site_fract_z
_atom_site_occupancy
Sr1 Sr 0.203 0.000 0.000 1
Sr2 Sr 0.250 0.250 0.250 1
B1 B 0.000 0.000 0.349 1
N1 N 0.000 0.000 0.210 1
N2 N 0.000 0.143 0.425 1
```

Peak list (10 most intense, 10 to 90 degrees two-theta, most intense first)
| hkl | d_spacing | 2θ (°) | I (rel.) |
| --- | --- | --- | --- |
| 2 2 2 | 2.478 | 36.25 | 100 |
| 0 2 2 | 3.403 | 26.19 | 90 |
| 2 0 4 | 2.100 | 43.06 | 27 |
| 0 0 4 | 2.580 | 34.77 | 25 |
| 2 0 0 | 3.617 | 24.61 | 24 |
| 2 4 0 | 1.918 | 47.39 | 19 |
| 0 4 0 | 2.263 | 39.83 | 18 |
| 3 1 1 | 2.273 | 39.65 | 17 |
| 2 4 4 | 1.540 | 60.10 | 17 |
| 0 4 4 | 1.701 | 53.89 | 16 |

---

3.
This entry pairs a crystal structure of Sr2ZnBN with its calculated powder XRD pattern. Radiation: Cu Kα (λ = 1.5418 Å). Structure: a crystal structure in Alexandria, relaxed with GGA-PBE.
Peak positions follow from Bragg's law for the DFT cell and can differ from measured ones.

Structure:
```
data_Sr2ZnBN
_cell_length_a 5.672
_cell_length_b 5.672
_cell_length_c 3.783
_cell_angle_alpha 90.00
_cell_angle_beta 90.00
_cell_angle_gamma 90.00
_symmetry_space_group_name_H-M 'P 4/m m m'
_symmetry_Int_Tables_number 123
_symmetry_space_group_name_Hall '-P 4 2'
loop_
_atom_site_label
_atom_site_type_symbol
_atom_site_fract_x
_atom_site_fract_y
_atom_site_fract_z
_atom_site_occupancy
Sr1 Sr 0.000 0.500 0.000 1
Zn1 Zn 0.000 0.000 0.000 1
B1 B 0.000 0.000 0.500 1
N1 N 0.500 0.500 0.500 1
```

Peak list (10 most intense, 10 to 90 degrees two-theta, most intense first)
| hkl | d_spacing | 2θ (°) | I (rel.) |
| --- | --- | --- | --- |
| 2 0 0 | 2.836 | 31.55 | 100 |
| 2 0 1 | 2.269 | 39.72 | 75 |
| 0 0 1 | 3.783 | 23.52 | 72 |
| 1 1 1 | 2.752 | 32.54 | 41 |
| 2 2 0 | 2.005 | 45.22 | 35 |
| 2 2 1 | 1.772 | 51.59 | 35 |
| 2 0 2 | 1.574 | 58.67 | 34 |
| 1 0 0 | 5.672 | 15.62 | 33 |
| 4 2 1 | 1.203 | 79.75 | 23 |
| 1 0 1 | 3.147 | 28.36 | 22 |

---

4.
This entry pairs a crystal structure of Ta2BN3 with its calculated powder XRD pattern. Radiation: Cu Kα (λ = 1.5418 Å). Structure: a crystal structure in Alexandria, relaxed with GGA-PBE.
Peak positions follow from Bragg's law for the DFT cell and can differ from measured ones.

Structure:
```
data_Ta2BN3
_cell_length_a 5.4580
_cell_length_b 5.4580
_cell_length_c 2.8049
_cell_angle_alpha 90.00
_cell_angle_beta 90.00
_cell_angle_gamma 120.00
_symmetry_space_group_name_H-M 'P 6/m m m'
_symmetry_Int_Tables_number 191
_symmetry_space_group_name_Hall '-P 6 2'
loop_
_atom_site_label
_atom_site_type_symbol
_atom_site_fract_x
_atom_site_fract_y
_atom_site_fract_z
_atom_site_occupancy
Ta1 Ta 0.3333 0.6667 0.0000 1
B1 B 0.0000 0.0000 0.5000 1
N1 N 0.0000 0.5000 0.5000 1
```

Peak list (10 most intense, 10 to 90 degrees two-theta, most intense first)
| hkl | d_spacing | 2θ (°) | I (rel.) |
| --- | --- | --- | --- |
| 1 0 0 | 4.727 | 18.77 | 100 |
| 1 1 0 | 2.729 | 32.82 | 92 |
| 1 1 1 | 1.956 | 46.42 | 76 |
| 1 0 1 | 2.412 | 37.28 | 32 |
| 0 0 1 | 2.805 | 31.91 | 25 |
| 3 0 1 | 1.374 | 68.28 | 24 |
| 2 0 1 | 1.807 | 50.50 | 22 |
| 3 0 0 | 1.576 | 58.59 | 18 |
| 1 1 2 | 1.247 | 76.35 | 17 |
| 2 1 1 | 1.507 | 61.54 | 15 |